1.
This entry pairs a crystal structure of Li2FeCSO7 with its simulated X-ray diffraction stick pattern. Radiation: CuKα. Structure: DFT lattice parameters and positions (PBE+U).
Peak positions follow from Bragg's law for the DFT cell and can differ from measured ones.

Crystal structure
Cell lengths 5.065, 6.442, 8.780 Å; angles 90.00, 92.20, 90.00 degrees
Fractional positions:
Li (0.231, 0.021, 0.308)
Li (0.231, 0.479, 0.308)
Li (0.769, 0.521, 0.692)
Li (0.769, 0.979, 0.692)
Fe (0.223, 0.750, 0.851)
Fe (0.777, 0.250, 0.149)
C (0.271, 0.750, 0.560)
C (0.729, 0.250, 0.440)
S (0.285, 0.250, 0.919)
S (0.715, 0.750, 0.081)
O (0.040, 0.750, 0.625)
O (0.184, 0.066, 0.834)
O (0.184, 0.434, 0.834)
O (0.189, 0.250, 0.078)
O (0.288, 0.750, 0.415)
O (0.419, 0.750, 0.073)
O (0.480, 0.750, 0.654)
O (0.520, 0.250, 0.346)
O (0.581, 0.250, 0.927)
O (0.712, 0.250, 0.585)
O (0.811, 0.750, 0.922)
O (0.816, 0.566, 0.166)
O (0.816, 0.934, 0.166)
O (0.960, 0.250, 0.375)

The 10 most intense peaks (5° ≤ 2θ ≤ 70°), low angle first:
10.08 deg, I = 100; 17.08 deg, I = 30; 19.91 deg, I = 28; 20.59 deg, I = 27; 24.84 deg, I = 19; 26.37 deg, I = 38; 27.41 deg, I = 17; 27.69 deg, I = 61; 35.47 deg, I = 17; 38.76 deg, I = 14

=====

2.
This entry pairs a crystal structure of Mg14FeCO16 with its simulated X-ray diffraction stick pattern. Radiation: CuKα. Structure: DFT lattice parameters and positions (PBE+U).
Peak positions follow from Bragg's law for the DFT cell and can differ from measured ones.

Crystal structure
Cell lengths 4.248, 8.493, 8.538 Å; angles 90.00, 90.00, 90.00 degrees
Fractional positions:
Mg (0.000, 0.000, 0.000)
Mg (0.000, 0.248, 0.251)
Mg (0.000, 0.248, 0.749)
Mg (0.000, 0.500, 0.000)
Mg (0.000, 0.752, 0.251)
Mg (0.000, 0.752, 0.749)
Mg (0.500, 0.000, 0.253)
Mg (0.500, 0.000, 0.747)
Mg (0.500, 0.247, 0.500)
Mg (0.500, 0.250, 0.000)
Mg (0.500, 0.500, 0.251)
Mg (0.500, 0.500, 0.749)
Mg (0.500, 0.750, 0.000)
Mg (0.500, 0.753, 0.500)
Fe (0.000, 0.500, 0.500)
C (0.000, 0.000, 0.500)
O (0.000, 0.000, 0.250)
O (0.000, 0.000, 0.750)
O (0.000, 0.248, 0.000)
O (0.000, 0.251, 0.500)
O (0.000, 0.500, 0.244)
O (0.000, 0.500, 0.756)
O (0.000, 0.749, 0.500)
O (0.000, 0.752, 0.000)
O (0.500, 0.000, 0.000)
O (0.500, 0.000, 0.500)
O (0.500, 0.249, 0.252)
O (0.500, 0.249, 0.748)
O (0.500, 0.500, 0.000)
O (0.500, 0.500, 0.500)
O (0.500, 0.751, 0.252)
O (0.500, 0.751, 0.748)

The 10 most intense peaks (5° ≤ 2θ ≤ 70°), low angle first:
10.41 deg, I = 8; 14.71 deg, I = 6; 23.37 deg, I = 6; 25.66 deg, I = 4; 31.52 deg, I = 3; 36.58 deg, I = 19; 42.35 deg, I = 51; 42.57 deg, I = 100; 61.60 deg, I = 56; 61.78 deg, I = 28

=====

3.
This entry pairs a crystal structure of Mg14FeCO16 with its simulated X-ray diffraction stick pattern. Radiation: CuKα. Structure: DFT lattice parameters and positions (PBE+U).
Peak positions follow from Bragg's law for the DFT cell and can differ from measured ones.

Crystal structure
Cell lengths 8.532, 8.532, 4.255 Å; angles 90.00, 90.00, 90.00 degrees
Fractional positions:
Mg (0.000, 0.246, 0.000)
Mg (0.000, 0.500, 0.500)
Mg (0.000, 0.754, 0.000)
Mg (0.246, 0.000, 0.000)
Mg (0.247, 0.247, 0.500)
Mg (0.247, 0.753, 0.500)
Mg (0.249, 0.500, 0.000)
Mg (0.500, 0.000, 0.500)
Mg (0.500, 0.249, 0.000)
Mg (0.500, 0.751, 0.000)
Mg (0.751, 0.500, 0.000)
Mg (0.753, 0.247, 0.500)
Mg (0.753, 0.753, 0.500)
Mg (0.754, 0.000, 0.000)
Fe (0.500, 0.500, 0.500)
C (0.000, 0.000, 0.500)
O (0.000, 0.000, 0.000)
O (0.000, 0.253, 0.500)
O (0.000, 0.500, 0.000)
O (0.000, 0.747, 0.500)
O (0.248, 0.500, 0.500)
O (0.250, 0.250, 0.000)
O (0.250, 0.750, 0.000)
O (0.253, 0.000, 0.500)
O (0.500, 0.000, 0.000)
O (0.500, 0.248, 0.500)
O (0.500, 0.500, 0.000)
O (0.500, 0.752, 0.500)
O (0.747, 0.000, 0.500)
O (0.750, 0.250, 0.000)
O (0.750, 0.750, 0.000)
O (0.752, 0.500, 0.500)

The 10 most intense peaks (5° ≤ 2θ ≤ 70°), low angle first:
10.37 deg, I = 13; 23.34 deg, I = 10; 31.48 deg, I = 7; 36.51 deg, I = 18; 38.04 deg, I = 3; 42.38 deg, I = 100; 42.49 deg, I = 50; 48.99 deg, I = 3; 58.27 deg, I = 2; 61.54 deg, I = 83

=====

4.
This entry pairs a crystal structure of Mn2FeC6N6O8 with its simulated X-ray diffraction stick pattern. Radiation: CuKα. Structure: DFT lattice parameters and positions (PBE+U).
Peak positions follow from Bragg's law for the DFT cell and can differ from measured ones.

Crystal structure
Cell lengths 7.208, 11.870, 10.340 Å; angles 90.00, 124.65, 90.00 degrees
Fractional positions:
Mn (0.169, 0.081, 0.080)
Mn (0.169, 0.419, 0.580)
Mn (0.831, 0.581, 0.420)
Mn (0.831, 0.919, 0.920)
Fe (0.000, 0.000, 0.500)
Fe (0.000, 0.500, 0.000)
C (0.068, 0.036, 0.347)
C (0.068, 0.464, 0.847)
C (0.095, 0.154, 0.575)
C (0.095, 0.346, 0.075)
C (0.311, 0.550, 0.142)
C (0.311, 0.950, 0.642)
C (0.689, 0.050, 0.358)
C (0.689, 0.450, 0.858)
C (0.905, 0.654, 0.925)
C (0.905, 0.846, 0.425)
C (0.932, 0.536, 0.153)
C (0.932, 0.964, 0.653)
N (0.111, 0.060, 0.257)
N (0.111, 0.440, 0.757)
N (0.150, 0.249, 0.607)
N (0.150, 0.251, 0.107)
N (0.500, 0.073, 0.267)
N (0.500, 0.427, 0.767)
N (0.500, 0.573, 0.233)
N (0.500, 0.927, 0.733)
N (0.850, 0.749, 0.893)
N (0.850, 0.751, 0.393)
N (0.889, 0.560, 0.243)
N (0.889, 0.940, 0.743)
O (0.138, 0.574, 0.561)
O (0.138, 0.926, 0.061)
O (0.239, 0.745, 0.834)
O (0.239, 0.755, 0.334)
O (0.258, 0.107, 0.962)
O (0.258, 0.393, 0.462)
O (0.368, 0.717, 0.466)
O (0.368, 0.783, 0.966)
O (0.632, 0.217, 0.034)
O (0.632, 0.283, 0.534)
O (0.742, 0.607, 0.538)
O (0.742, 0.893, 0.038)
O (0.761, 0.245, 0.666)
O (0.761, 0.255, 0.166)
O (0.862, 0.074, 0.939)
O (0.862, 0.426, 0.439)

The 10 most intense peaks (5° ≤ 2θ ≤ 70°), low angle first:
14.94 deg, I = 100; 17.43 deg, I = 60; 18.23 deg, I = 21; 20.89 deg, I = 22; 21.18 deg, I = 25; 22.20 deg, I = 19; 23.03 deg, I = 47; 27.09 deg, I = 24; 35.28 deg, I = 28; 38.16 deg, I = 24

=====

- Number 1 is which compound?
  Li2FeCSO7

=====

- Number 3 is which compound?
  Mg14FeCO16